# 1
Starting from DFT lattice parameters and positions (PBE), the powder XRD pattern of AgHgSe was simulated for Cu Kα (weighted mean of Kα1 and Kα2).
Intensities are scaled so that the largest is 100.

Structural model:
```
12
Lattice="4.699 -5.951 0.000 4.699 5.951 0.000 -4.624 0.000 5.775" Properties=species:S:1:pos:R:3 pbc="T T T"
Ag 0.000 0.000 0.000
Ag -2.312 0.000 2.888
Ag 2.350 2.975 0.000
Ag 0.037 -2.975 2.888
Hg 1.202 1.490 2.173
Hg -1.110 -1.490 5.060
Hg 5.885 1.490 0.715
Hg 3.572 -1.490 3.603
Se -0.817 1.470 4.328
Se 1.495 -1.470 1.441
Se 3.279 1.470 4.335
Se 5.591 -1.470 1.447
```

Largest 6 diffraction maxima, sorted by position, 2θ = 10–90°:
2θ (°), I (rel.)
24.13, 59
24.26, 87
24.58, 83
25.56, 100
37.54, 60
49.43, 75



# 2
Starting from DFT lattice parameters and positions (PBE), the powder XRD pattern of Sr2Mg17In3 was simulated for Cu Kα (weighted mean of Kα1 and Kα2).
Intensities are scaled so that the largest is 100.

Structural model:
```
22
Lattice="5.698 3.290 5.408 -5.698 3.290 5.408 0.000 -6.580 5.408" Properties=species:S:1:pos:R:3 pbc="T T T"
Sr 0.000 0.000 2.517
Sr 0.000 0.000 13.708
Mg -2.849 -1.645 5.408
Mg 0.000 -3.351 5.556
Mg -2.902 1.676 5.556
Mg -1.451 -2.514 8.113
Mg -2.902 0.000 8.113
Mg -2.902 -1.676 10.669
Mg 0.000 0.000 6.457
Mg -2.849 1.645 10.817
Mg 1.451 -2.514 8.113
Mg 0.000 3.290 5.408
Mg -1.451 2.514 8.113
Mg 0.000 0.000 9.768
Mg 2.902 1.676 5.556
Mg 2.902 0.000 8.113
Mg 1.451 2.514 8.113
Mg 2.902 -1.676 10.669
Mg 0.000 3.351 10.669
In -5.698 0.000 8.113
In -2.849 1.645 2.704
In 2.849 1.645 2.704
```

Largest 6 diffraction maxima, sorted by position, 2θ = 10–90°:
2θ (°), I (rel.)
16.39, 51
18.80, 33
31.40, 100
32.61, 40
33.11, 46
46.27, 60